1.
The following is a theoretical powder diffraction line list of Co4NiH3. It was derived from a structure optimized by DFT (PBE), using a wavelength of 1.5418 Å.
Neutral-atom scattering factors, no anomalous dispersion.

Structural model:
a = 8.7155 Å, b = 4.4945 Å, c = 6.6402 Å
α = 90.00°, β = 111.48°, γ = 90.00°
Space group Cc (No. 9)
One atom of each set of equivalent atoms:
Co: 0.0000 0.1637 0.0000 (multiplicity 4)
Co: 0.0945 0.3286 0.6974 (multiplicity 4)
Co: 0.1998 0.1677 0.3987 (multiplicity 4)
Co: 0.3003 0.3307 0.0979 (multiplicity 4)
Ni: 0.4004 0.1648 0.7980 (multiplicity 4)
H: 0.0906 0.4989 0.9489 (multiplicity 4)
H: 0.1998 0.9997 0.1492 (multiplicity 4)
H: 0.3077 0.4982 0.8474 (multiplicity 4)

The 12 most intense peaks (2θ from 15° to 90°), in order of rising 2θ:
d [Å]  I/Imax  (hkl)
2.245  24  0 2 0
2.080  26  4 0 -2
1.975  100  3 1 1
1.526  9  4 2 -2
1.525  5  3 1 -4
1.297  10  1 3 2
1.294  5  2 0 4
1.180  16  5 1 -5
1.124  1  0 4 0
1.122  2  2 2 4
1.100  11  3 3 -4
1.099  6  2 0 -6

2.
The following is a theoretical powder diffraction line list of Tl2CuAgSb2. It was derived from a structure optimized by DFT (PBE), using a wavelength of 1.5418 Å.
Neutral-atom scattering factors, no anomalous dispersion.

Structural model:
a = 6.2024 Å, b = 16.6135 Å, c = 6.1750 Å
α = 90.00°, β = 90.00°, γ = 90.00°
Space group Ibam (No. 72)
One atom of each set of equivalent atoms:
Tl: 0.2213 0.1768 0.0000 (multiplicity 8)
Cu: 0.0000 0.5000 0.2500 (multiplicity 4)
Ag: 0.0000 0.0000 0.2500 (multiplicity 4)
Sb: 0.2150 0.3974 0.0000 (multiplicity 8)

The 12 most intense peaks (2θ from 15° to 90°), in order of rising 2θ:
d [Å]  I/Imax  (hkl)
3.101  18  2 0 0
3.088  22  0 0 2
3.013  100  1 4 1
2.905  22  2 2 0
2.894  23  0 2 2
2.485  27  2 4 0
2.478  30  0 4 2
2.340  18  1 6 1
2.188  48  2 0 2
1.876  17  1 8 1
1.773  16  3 4 1
1.768  22  1 4 3

3.
The following is a theoretical powder diffraction line list of Y2Ga13. It was derived from a structure optimized by DFT (PBE), using a wavelength of 1.5418 Å.
Neutral-atom scattering factors, no anomalous dispersion.

Structural model:
a = 7.2764 Å, b = 7.2764 Å, c = 21.3885 Å
α = 90.00°, β = 90.00°, γ = 120.00°
Space group R-3m (No. 166, hexagonal axes)
One atom of each set of equivalent atoms:
Y: 0.0000 0.0000 0.2352 (multiplicity 6)
Ga: 0.0000 0.0000 0.0000 (multiplicity 3)
Ga: 0.0613 0.5307 0.7896 (multiplicity 18)
Ga: 0.0989 0.5495 0.0498 (multiplicity 18)

The 12 most intense peaks (2θ from 15° to 90°), in order of rising 2θ:
d [Å]  I/Imax  (hkl)
4.077  21  1 0 4
3.117  98  0 2 1
2.715  82  0 2 4
2.537  80  2 0 5
2.461  91  0 1 8
2.193  64  0 2 7
2.176  100  2 1 4
2.015  74  0 3 3
1.878  20  2 1 7
1.819  33  2 2 0
1.359  21  3 0 12
1.272  44  2 3 8

4.
The following is a theoretical powder diffraction line list of TbPr3. It was derived from a structure optimized by DFT (PBE), using a wavelength of 1.5418 Å.
Neutral-atom scattering factors, no anomalous dispersion.

Structural model:
a = 7.4381 Å, b = 7.4381 Å, c = 5.9387 Å
α = 90.00°, β = 90.00°, γ = 120.00°
Space group P6_3/mmc (No. 194)
One atom of each set of equivalent atoms:
Tb: 0.3333 0.6667 0.2500 (multiplicity 2)
Pr: 0.1675 0.3350 0.7500 (multiplicity 6)

The 12 most intense peaks (2θ from 15° to 90°), in order of rising 2θ:
d [Å]  I/Imax  (hkl)
3.221  23  2 0 0
2.969  25  0 0 2
2.831  100  2 0 1
2.183  16  2 0 2
1.860  20  2 2 0
1.686  22  2 0 3
1.576  23  2 2 2
1.554  16  4 0 1
1.249  8  4 0 3
1.193  14  4 2 1
1.160  8  2 2 4
1.114  6  2 0 5

5.
The following is a theoretical powder diffraction line list of ZnCu3NiSe4. It was derived from a structure optimized by DFT (PBE), using a wavelength of 1.5418 Å.
Neutral-atom scattering factors, no anomalous dispersion.

Structural model:
a = 5.6436 Å, b = 5.6436 Å, c = 5.6436 Å
α = 90.00°, β = 90.00°, γ = 90.00°
Space group P-43m (No. 215)
One atom of each set of equivalent atoms:
Zn: 0.0000 0.0000 0.0000 (multiplicity 1)
Cu: 0.0000 0.5000 0.5000 (multiplicity 3)
Ni: 0.5000 0.5000 0.5000 (multiplicity 1)
Se: 0.2542 0.2542 0.7458 (multiplicity 4)

The 12 most intense peaks (2θ from 15° to 90°), in order of rising 2θ:
d [Å]  I/Imax  (hkl)
5.644  9  1 0 0
3.991  7  1 1 0
3.258  92  1 1 1
2.524  3  2 1 0
2.304  3  2 1 1
1.995  100  2 2 0
1.881  2  2 2 1
1.702  40  3 1 1
1.508  2  3 2 1
1.411  15  4 0 0
1.295  16  3 3 1
1.152  31  4 2 2

6.
The following is a theoretical powder diffraction line list of DyYGeS. It was derived from a structure optimized by DFT (PBE), using a wavelength of 1.5418 Å.
Neutral-atom scattering factors, no anomalous dispersion.

Structural model:
a = 4.0444 Å, b = 4.0444 Å, c = 19.9351 Å
α = 90.00°, β = 90.00°, γ = 120.00°
Space group R3m (No. 160, hexagonal axes)
One atom of each set of equivalent atoms:
Dy: 0.0000 0.0000 0.0000 (multiplicity 3)
Y: 0.0000 0.0000 0.4996 (multiplicity 3)
Ge: 0.0000 0.0000 0.7495 (multiplicity 3)
S: 0.0000 0.0000 0.2501 (multiplicity 3)

The 12 most intense peaks (2θ from 15° to 90°), in order of rising 2θ:
d [Å]  I/Imax  (hkl)
3.450  8  1 0 1
3.323  8  0 0 6
3.305  22  0 1 2
2.866  100  1 0 4
2.030  37  0 1 8
2.022  36  1 1 0
1.727  11  2 0 2
1.652  19  0 2 4
1.433  12  2 0 8
1.284  16  1 1 12
1.279  16  2 1 4
1.169  12  1 2 8

7.
The following is a theoretical powder diffraction line list of TaBi4ClO8. It was derived from a structure optimized by DFT (PBE), using a wavelength of 1.5418 Å.
Neutral-atom scattering factors, no anomalous dispersion.

Structural model:
a = 3.9068 Å, b = 3.9068 Å, c = 14.3145 Å
α = 90.00°, β = 90.00°, γ = 90.00°
Space group P4/mmm (No. 123)
One atom of each set of equivalent atoms:
Ta: 0.0000 0.0000 0.0000 (multiplicity 1)
Bi: 0.0000 0.0000 0.3591 (multiplicity 2)
Bi: 0.5000 0.5000 0.1823 (multiplicity 2)
Cl: 0.5000 0.5000 0.5000 (multiplicity 1)
O: 0.0000 0.0000 0.1411 (multiplicity 2)
O: 0.0000 0.5000 0.0000 (multiplicity 2)
O: 0.0000 0.5000 0.2828 (multiplicity 4)

The 12 most intense peaks (2θ from 15° to 90°), in order of rising 2θ:
d [Å]  I/Imax  (hkl)
3.429  16  1 0 2
3.023  100  1 0 3
2.762  42  1 1 0
2.386  10  0 0 6
1.988  14  1 1 5
1.953  22  2 0 0
1.806  17  1 1 6
1.641  35  2 1 3
1.627  14  1 0 8
1.511  10  2 0 6
1.250  12  2 1 8
1.177  9  1 1 11

8.
The following is a theoretical powder diffraction line list of PmH4Pd2. It was derived from a structure optimized by DFT (PBE), using a wavelength of 1.5418 Å.
Neutral-atom scattering factors, no anomalous dispersion.

Structural model:
a = 5.7513 Å, b = 5.7513 Å, c = 8.9829 Å
α = 90.00°, β = 90.00°, γ = 90.00°
Space group I4_1/a (No. 88, origin choice 2)
One atom of each set of equivalent atoms:
Pm: 0.0000 0.2500 0.1250 (multiplicity 4)
H: 0.1549 0.4730 0.3272 (multiplicity 16)
Pd: 0.0000 0.0000 0.5000 (multiplicity 8)

The 12 most intense peaks (2θ from 15° to 90°), in order of rising 2θ:
d [Å]  I/Imax  (hkl)
3.015  41  1 1 2
2.876  17  2 0 0
2.656  60  1 0 3
2.473  100  1 2 1
2.422  48  2 0 2
1.715  16  1 0 5
1.686  15  3 1 2
1.615  14  3 0 3
1.571  24  2 3 1
1.507  31  2 2 4
1.438  13  4 0 0
1.264  12  4 1 3